Entry 1:
For AcCe4Bi5, a DFT-relaxed cell (PBE, Alexandria) gives the calculated powder XRD pattern in this record (Cu Ka).
Peak positions follow from Bragg's law for the DFT cell and can differ from measured ones.

Cell and atoms:
```
AcCe4Bi5
1.0
-2.331 3.304 11.658
2.331 -3.304 11.658
2.331 3.304 -11.658
Ac Ce Bi
1 4 5
Direct
0.000 0.000 0.000
0.203 0.203 0.000
0.400 0.400 0.000
0.600 0.600 0.000
0.797 0.797 0.000
0.106 0.606 0.500
0.301 0.801 0.500
0.500 0.000 0.500
0.699 0.199 0.500
0.894 0.394 0.500
```

Main lines, low angle first (2θ from 15° to 90°):
Position (°2θ)  intensity
27.0  1000
38.6  787
47.8  287
55.8  89
63.0  252
63.1  123
69.8  277
89.0  125

Entry 2:
For Ac2CeHoBi5, a DFT-relaxed cell (PBE, Alexandria) gives the calculated powder XRD pattern in this record (Cu Ka).
Peak positions follow from Bragg's law for the DFT cell and can differ from measured ones.

Cell and atoms:
```
Ac2CeHoBi5
1.0
5.472 0.000 0.000
0.000 5.472 0.000
0.000 0.000 12.244
Ac Ce Ho Bi
2 1 1 5
Direct
0.000 0.000 0.219
0.000 0.000 0.781
0.500 0.500 0.500
0.500 0.500 0.000
0.000 0.000 0.500
0.000 0.500 0.000
0.500 0.000 0.000
0.500 0.500 0.252
0.500 0.500 0.748
```

Main lines, low angle first (2θ from 15° to 90°):
Position (°2θ)  intensity
23.0  691
27.3  768
29.2  575
31.9  465
32.7  1000
44.4  760
47.0  374
56.2  395

Entry 3:
For AcCeMgBi, a DFT-relaxed cell (PBE, Alexandria) gives the calculated powder XRD pattern in this record (Cu Ka).
Peak positions follow from Bragg's law for the DFT cell and can differ from measured ones.

Cell and atoms:
```
AcCeMgBi
1.0
8.067 0.000 0.000
0.000 8.067 0.000
0.000 0.000 8.067
Ac Ce Mg Bi
4 4 4 4
Direct
0.000 0.000 0.000
0.000 0.500 0.500
0.500 0.000 0.500
0.500 0.500 0.000
0.000 0.000 0.500
0.000 0.500 0.000
0.500 0.000 0.000
0.500 0.500 0.500
0.250 0.250 0.750
0.250 0.750 0.250
0.750 0.250 0.250
0.750 0.750 0.750
0.250 0.250 0.250
0.250 0.750 0.750
0.750 0.250 0.750
0.750 0.750 0.250
```

Main lines, low angle first (2θ from 15° to 90°):
Position (°2θ)  intensity
19.1  241
31.4  1000
37.0  146
44.9  189
49.2  67
55.8  401
65.5  125
74.4  174

Entry 4:
For Ac2CeTmBi4, a DFT-relaxed cell (PBE, Alexandria) gives the calculated powder XRD pattern in this record (Cu Ka).
Peak positions follow from Bragg's law for the DFT cell and can differ from measured ones.

Cell and atoms:
```
Ac2CeTmBi4
1.0
8.135 0.000 0.000
0.000 4.707 0.000
-2.716 0.000 7.679
Ac Ce Tm Bi
2 1 1 4
Direct
0.000 0.000 0.000
0.500 0.500 0.000
0.000 0.500 0.500
0.500 0.000 0.500
0.247 0.000 0.730
0.262 0.500 0.273
0.738 0.500 0.727
0.753 0.000 0.270
```

Main lines, low angle first (2θ from 15° to 90°):
Position (°2θ)  intensity
26.8  1000
38.3  783
47.4  283
55.3  133
62.4  299
69.2  196
69.3  70
88.1  118

Entry 5:
For AcCoBiPd, a DFT-relaxed cell (PBE, Alexandria) gives the calculated powder XRD pattern in this record (Cu Ka).
Peak positions follow from Bragg's law for the DFT cell and can differ from measured ones.

Cell and atoms:
```
AcCoBiPd
1.0
7.169 0.000 0.000
0.000 7.169 0.000
0.000 0.000 7.169
Ac Co Bi Pd
4 4 4 4
Direct
0.000 0.000 0.000
0.000 0.500 0.500
0.500 0.000 0.500
0.500 0.500 0.000
0.250 0.250 0.750
0.250 0.750 0.250
0.750 0.250 0.250
0.750 0.750 0.750
0.000 0.000 0.500
0.000 0.500 0.000
0.500 0.000 0.000
0.500 0.500 0.500
0.250 0.250 0.250
0.250 0.750 0.750
0.750 0.250 0.750
0.750 0.750 0.250
```

Main lines, low angle first (2θ from 15° to 90°):
Position (°2θ)  intensity
24.8  219
35.4  1000
43.7  71
51.0  179
57.5  100
63.6  369
74.9  115
85.7  167